Record 1
The following is a theoretical powder diffractogram of ThPaSi2O8. It was derived from DFT lattice parameters and positions (PBE), using Cu Kα (λ = 1.5418 Å).
Kinematic intensities with the Lorentz-polarization factor, no thermal factor.

Atomic structure:
Unit cell a=5.9668 b=5.9668 c=5.9668 alpha=106.46 beta=106.46 gamma=115.67
Fractional positions:
1 Th 0.0000 0.0000 0.0000
2 Pa 0.2500 0.7500 0.5000
3 Si 0.5000 0.5000 0.0000
4 Si 0.7500 0.2500 0.5000
5 O 0.3342 0.1555 0.8213
6 O 0.3342 0.5129 0.1787
7 O 0.4059 0.0824 0.3235
8 O 0.4871 0.6658 0.8213
9 O 0.7589 0.0824 0.6765
10 O 0.8445 0.6658 0.1787
11 O 0.9176 0.2411 0.3235
12 O 0.9176 0.5941 0.6765

Principal peaks in the range 10° ≤ 2θ ≤ 90°, low angle first:
- 4.747 Å, 18.7 deg, rel. 92
- 3.572 Å, 24.9 deg, rel. 100
- 2.854 Å, 31.3 deg, rel. 43
- 2.689 Å, 33.3 deg, rel. 76
- 2.525 Å, 35.5 deg, rel. 25
- 2.230 Å, 40.5 deg, rel. 25
- 2.030 Å, 44.6 deg, rel. 18
- 1.891 Å, 48.1 deg, rel. 26
- 1.841 Å, 49.5 deg, rel. 61
- 1.488 Å, 62.4 deg, rel. 17

Record 2
The following is a theoretical powder diffractogram of NaCaN3. It was derived from DFT lattice parameters and positions (PBE), using Cu Kα (λ = 1.5418 Å).
Kinematic intensities with the Lorentz-polarization factor, no thermal factor.

Atomic structure:
Unit cell a=12.9611 b=12.6230 c=5.8187 alpha=80.12 beta=73.63 gamma=26.25
Fractional positions:
1 Na 0.0584 0.0584 0.1916
2 Na 0.1916 0.1916 0.0584
3 Na 0.8084 0.8084 0.9416
4 Na 0.9416 0.9416 0.8084
5 Ca 0.2979 0.2979 0.4521
6 Ca 0.4521 0.4521 0.2979
7 Ca 0.5479 0.5479 0.7021
8 Ca 0.7021 0.7021 0.5479
9 N 0.0287 0.5050 0.2147
10 N 0.1526 0.5974 0.5974
11 N 0.2147 0.7516 0.0287
12 N 0.2484 0.7853 0.4950
13 N 0.4026 0.8474 0.8474
14 N 0.4950 0.9713 0.2484
15 N 0.5050 0.0287 0.7516
16 N 0.5974 0.1526 0.1526
17 N 0.7516 0.2147 0.5050
18 N 0.7853 0.2484 0.9713
19 N 0.8474 0.4026 0.4026
20 N 0.9713 0.4950 0.7853

Principal peaks in the range 10° ≤ 2θ ≤ 90°, low angle first:
- 6.057 Å, 14.6 deg, rel. 44
- 5.480 Å, 16.2 deg, rel. 20
- 4.309 Å, 20.6 deg, rel. 100
- 3.407 Å, 26.2 deg, rel. 24
- 3.036 Å, 29.4 deg, rel. 19
- 2.666 Å, 33.6 deg, rel. 92
- 2.305 Å, 39.1 deg, rel. 41
- 2.061 Å, 43.9 deg, rel. 72
- 1.744 Å, 52.5 deg, rel. 42
- 1.620 Å, 56.8 deg, rel. 19

Record 3
The following is a theoretical powder diffractogram of Li5TlPd4. It was derived from DFT lattice parameters and positions (PBE), using Cu Kα (λ = 1.5418 Å).
Kinematic intensities with the Lorentz-polarization factor, no thermal factor.

Atomic structure:
Unit cell a=7.0030 b=7.0030 c=5.3728 alpha=105.79 beta=105.79 gamma=36.47
Fractional positions:
1 Li 0.0000 0.0000 0.0000
2 Li 0.2069 0.2069 0.3056
3 Li 0.3950 0.3950 0.1328
4 Li 0.6050 0.6050 0.8672
5 Li 0.7931 0.7931 0.6944
6 Tl 0.0000 0.0000 0.5000
7 Pd 0.2087 0.2087 0.8074
8 Pd 0.3953 0.3953 0.6334
9 Pd 0.6047 0.6047 0.3666
10 Pd 0.7913 0.7913 0.1926

Principal peaks in the range 10° ≤ 2θ ≤ 90°, low angle first:
- 5.148 Å, 17.2 deg, rel. 36
- 4.719 Å, 18.8 deg, rel. 25
- 3.539 Å, 25.2 deg, rel. 27
- 3.386 Å, 26.3 deg, rel. 48
- 2.899 Å, 30.8 deg, rel. 24
- 2.416 Å, 37.2 deg, rel. 20
- 2.203 Å, 41.0 deg, rel. 100
- 2.191 Å, 41.2 deg, rel. 26
- 2.180 Å, 41.4 deg, rel. 24
- 1.267 Å, 74.9 deg, rel. 17

Record 4
The following is a theoretical powder diffractogram of TmCuPH. It was derived from DFT lattice parameters and positions (PBE), using Cu Kα (λ = 1.5418 Å).
Kinematic intensities with the Lorentz-polarization factor, no thermal factor.

Atomic structure:
Unit cell a=3.7273 b=3.7273 c=7.6932 alpha=90.00 beta=90.00 gamma=90.00
Fractional positions:
1 Tm 0.2500 0.2500 0.1696
2 Tm 0.7500 0.7500 0.8304
3 Cu 0.2500 0.7500 0.5000
4 Cu 0.7500 0.2500 0.5000
5 P 0.2500 0.2500 0.6978
6 P 0.7500 0.7500 0.3022
7 H 0.2500 0.7500 0.0000
8 H 0.7500 0.2500 0.0000

Principal peaks in the range 10° ≤ 2θ ≤ 90°, low angle first:
- 3.354 Å, 26.6 deg, rel. 95
- 2.677 Å, 33.5 deg, rel. 100
- 2.636 Å, 34.0 deg, rel. 30
- 2.564 Å, 35.0 deg, rel. 38
- 2.493 Å, 36.0 deg, rel. 62
- 2.174 Å, 41.5 deg, rel. 72
- 1.864 Å, 48.9 deg, rel. 47
- 1.709 Å, 53.6 deg, rel. 33
- 1.529 Å, 60.5 deg, rel. 36
- 1.508 Å, 61.5 deg, rel. 29

- What is the formula in the second record?
  NaCaN3